Starting from a cell relaxed with GGA+U, the powder diffractogram of NaMn16O32 was calculated for λ = 1.5418 Å (Cu Kα).
Intensities are scaled so that the largest is 100.

Top 10 peaks for 5° ≤ 2θ ≤ 70°, in order of falling intensity:
hkl, d [Å], intensity
1 1 0, 7.022, 100
2 0 0, 4.965, 88
2 1 2, 2.453, 76
1 3 0, 3.140, 64
2 5 2, 1.562, 42
1 4 2, 1.864, 41
5 4 2, 1.372, 29
4 0 0, 2.483, 24
6 0 0, 1.655, 20
3 0 2, 2.199, 17

Atomic structure:
abc: 9.9303 9.9303 5.8843
angles: 90.00 90.00 90.00
Sites, in units of the cell vectors:
Na1 0.0000 0.0000 0.0000
Mn1 0.1506 0.3338 0.2506
Mn2 0.1506 0.3338 0.7494
Mn3 0.1670 0.6508 0.0000
Mn4 0.1671 0.6519 0.5000
Mn5 0.3338 0.8494 0.2506
Mn6 0.3338 0.8494 0.7494
Mn7 0.3481 0.1671 0.5000
Mn8 0.3492 0.1670 0.0000
Mn9 0.6508 0.8330 0.0000
Mn10 0.6519 0.8329 0.5000
Mn11 0.6662 0.1506 0.2506
Mn12 0.6662 0.1506 0.7494
Mn13 0.8329 0.3481 0.5000
Mn14 0.8330 0.3492 0.0000
Mn15 0.8494 0.6662 0.2506
Mn16 0.8494 0.6662 0.7494
O1 0.0432 0.6679 0.2498
O2 0.0432 0.6679 0.7502
O3 0.1534 0.2017 0.0000
O4 0.1545 0.2041 0.5000
O5 0.1632 0.4573 0.0000
O6 0.1631 0.4577 0.5000
O7 0.2017 0.8466 0.0000
O8 0.2041 0.8455 0.5000
O9 0.2959 0.6567 0.2497
O10 0.2959 0.6567 0.7503
O11 0.3321 0.0432 0.2498
O12 0.3321 0.0432 0.7502
O13 0.3433 0.2959 0.2497
O14 0.3433 0.2959 0.7503
O15 0.4573 0.8368 0.0000
O16 0.4577 0.8369 0.5000
O17 0.5423 0.1631 0.5000
O18 0.5427 0.1632 0.0000
O19 0.6567 0.7041 0.2497
O20 0.6567 0.7041 0.7503
O21 0.6679 0.9568 0.2498
O22 0.6679 0.9568 0.7502
O23 0.7041 0.3433 0.2497
O24 0.7041 0.3433 0.7503
O25 0.7959 0.1545 0.5000
O26 0.7983 0.1534 0.0000
O27 0.8369 0.5423 0.5000
O28 0.8368 0.5427 0.0000
O29 0.8455 0.7959 0.5000
O30 0.8466 0.7983 0.0000
O31 0.9568 0.3321 0.2498
O32 0.9568 0.3321 0.7502